No. 1
This entry pairs a crystal structure of Sr2GaSn2Hg4 with its calculated X-ray diffraction stick pattern. Radiation: Cu Kα X-rays. Structure: the GGA-PBE geometry in Alexandria.

Principal peaks in the range 10° ≤ 2θ ≤ 80°, in order of rising 2θ:
h k l  d [Å]  intensity
0 0 2  4.979  18
2 0 2  2.900  100
2 2 0  2.523  45
0 0 4  2.489  19
2 1 3  2.300  12
3 0 3  1.933  9
4 0 0  1.784  14
2 2 4  1.772  25
4 2 2  1.519  23
4 0 4  1.450  12

Atomic structure:
Lattice parameters (Å, degrees): 7.1352 7.1352 9.9580 90.00 90.00 90.00
Space group I4/mmm (No. 139)
Symmetry-distinct sites (fractional):
Sr  0.0000  0.5000  0.2500 (multiplicity 4)
Ga  0.0000  0.0000  0.0000 (multiplicity 2)
Sn  0.0000  0.0000  0.2927 (multiplicity 4)
Hg  0.2275  0.2275  0.5000 (multiplicity 8)



No. 2
This entry pairs a crystal structure of SnSbI5 with its calculated X-ray diffraction stick pattern. Radiation: Cu Kα X-rays. Structure: the GGA-PBE geometry in Alexandria.

Principal peaks in the range 10° ≤ 2θ ≤ 80°, in order of rising 2θ:
h k l  d [Å]  intensity
1 0 1  7.872  85
2 0 2  3.936  27
1 1 -2  3.504  100
0 0 5  3.234  46
1 1 3  3.143  36
2 1 0  3.117  63
3 1 1  2.439  30
2 1 -5  2.252  29
0 2 0  2.147  34
4 0 4  1.970  24

Atomic structure:
Lattice parameters (Å, degrees): 9.0607 4.2947 16.1704 90.00 90.56 90.00
Space group P2_1/m (No. 11)
Symmetry-distinct sites (fractional):
Sn  0.0748  0.2500  0.3750 (multiplicity 2)
Sb  0.3429  0.7500  0.1707 (multiplicity 2)
I  0.0175  0.7500  0.2060 (multiplicity 2)
I  0.1655  0.2500  0.5632 (multiplicity 2)
I  0.2669  0.2500  0.0391 (multiplicity 2)
I  0.3426  0.7500  0.3684 (multiplicity 2)
I  0.4128  0.7500  0.7960 (multiplicity 2)



No. 3
This entry pairs a crystal structure of Dy7Tm2Sc3 with its calculated X-ray diffraction stick pattern. Radiation: Cu Kα X-rays. Structure: the GGA-PBE geometry in Alexandria.

Principal peaks in the range 10° ≤ 2θ ≤ 80°, in order of rising 2θ:
h k l  d [Å]  intensity
1 7 0  3.831  22
0 12 0  3.037  29
1 11 0  2.859  58
2 0 0  2.829  66
1 5 1  2.758  56
1 7 1  2.586  100
0 0 2  1.753  22
0 20 1  1.618  22
3 7 1  1.583  30
2 0 2  1.490  26

Atomic structure:
Lattice parameters (Å, degrees): 5.6581 36.4469 3.5058 90.00 90.00 90.00
Space group Cmmm (No. 65)
Symmetry-distinct sites (fractional):
Dy  0.0000  0.0000  0.0000 (multiplicity 2)
Dy  0.0000  0.0916  0.5000 (multiplicity 4)
Dy  0.0000  0.2713  0.0000 (multiplicity 4)
Dy  0.0000  0.4284  0.0000 (multiplicity 4)
Tm  0.0000  0.1758  0.0000 (multiplicity 4)
Sc  0.0000  0.3501  0.5000 (multiplicity 4)
Sc  0.0000  0.5000  0.5000 (multiplicity 2)